This entry pairs a crystal structure of Y5ScZn4 with its computed X-ray powder pattern. Radiation: Cu Kα (weighted mean of Kα1 and Kα2). Structure: a DFT-relaxed cell (PBE, Alexandria).
Peak positions follow from Bragg's law for the DFT cell and can differ from measured ones.

Structure:
Cell: 3.563 3.563 19.013 Å, 90.00 90.00 90.00°
Space group P4/mmm (No. 123)
Symmetry-distinct sites (fractional):
1 Y 0.000 0.000 0.000 [1 per cell]
2 Y 0.000 0.000 0.189 [2 per cell]
3 Y 0.000 0.000 0.377 [2 per cell]
4 Sc 0.500 0.500 0.500 [1 per cell]
5 Zn 0.500 0.500 0.095 [2 per cell]
6 Zn 0.500 0.500 0.284 [2 per cell]

Top 10 peaks for 2θ from 10° to 80°, in order of falling intensity:
2theta	d [Å]	I (rel.)
34.49	2.600	100
35.63	2.520	56
63.27	1.470	32
51.28	1.782	19
38.00	2.368	16
65.52	1.425	15
61.06	1.518	9
75.46	1.260	6
76.84	1.241	5
72.74	1.300	5